PmMgSc6: calculated X-ray diffraction stick pattern (copper Kα), based on a crystal structure in Alexandria, relaxed with GGA-PBE.
No peak broadening, texture or thermal motion is included.

Atomic structure:
Cell lengths 7.8075, 7.8075, 12.5903 Å; angles 90.00, 90.00, 120.00 degrees
Space group R-3m (No. 166, hexagonal axes)
Symmetry-distinct sites (fractional):
Pm 0.0000 0.0000 0.0000 x3
Mg 0.0000 0.0000 0.5000 x3
Sc 0.0849 0.5424 0.8947 x18

Most intense lines, 10 to 80 degrees two-theta, low angle first:
| Position (°2θ) | intensity |
| --- | --- |
| 14.87 | 466 |
| 27.31 | 924 |
| 30.00 | 384 |
| 31.33 | 1000 |
| 38.00 | 797 |
| 45.70 | 509 |

***

AcAl2SiOs2: calculated X-ray diffraction stick pattern (copper Kα), based on a crystal structure in Alexandria, relaxed with GGA-PBE.
No peak broadening, texture or thermal motion is included.

Atomic structure:
Cell lengths 4.4928, 4.4928, 5.9734 Å; angles 90.00, 90.00, 90.00 degrees
Space group P4/mmm (No. 123)
Symmetry-distinct sites (fractional):
Ac 0.0000 0.0000 0.0000 x1
Al 0.5000 0.5000 0.2466 x2
Si 0.0000 0.0000 0.5000 x1
Os 0.0000 0.5000 0.5000 x2

Most intense lines, 10 to 80 degrees two-theta, low angle first:
| Position (°2θ) | intensity |
| --- | --- |
| 29.92 | 297 |
| 31.91 | 1000 |
| 40.14 | 386 |
| 50.86 | 280 |
| 54.38 | 225 |
| 67.80 | 238 |